[1]
For Co2O3F, a structure optimized by DFT (GGA+U) gives the theoretical powder X-ray diffraction pattern in this record (Cu Ka).
Kinematic intensities with the Lorentz-polarization factor, no thermal factor.

Peak list (10 most intense, 2θ from 10° to 90°, in order of rising 2θ)
| 2θ (°) | I/Imax | index |
| --- | --- | --- |
| 26.68 | 895 | 0 0 2 |
| 29.27 | 850 | 0 2 0 |
| 36.41 | 1000 | 4 1 1 |
| 40.02 | 166 | 0 2 2 |
| 40.81 | 178 | 4 0 2 |
| 53.71 | 476 | 4 1 3 |
| 56.68 | 477 | 4 3 1 |
| 60.71 | 134 | 0 4 0 |
| 63.05 | 149 | 8 0 0 |
| 70.34 | 297 | 4 3 3 |

Structural model:
```
data_Co2O3F
_cell_length_a 11.7946
_cell_length_b 6.1016
_cell_length_c 6.6830
_cell_angle_alpha 90.00
_cell_angle_beta 90.00
_cell_angle_gamma 90.00
_symmetry_space_group_name_H-M 'A m m 2'
_symmetry_Int_Tables_number 38
_symmetry_space_group_name_Hall 'A 2 -2'
loop_
_atom_site_label
_atom_site_type_symbol
_atom_site_fract_x
_atom_site_fract_y
_atom_site_fract_z
_atom_site_occupancy
Co1 Co 0.0000 0.0000 0.0000 1
Co2 Co 0.1243 0.0000 0.5395 1
Co3 Co 0.2491 0.0000 0.9974 1
Co4 Co 0.3721 0.0000 0.4579 1
Co5 Co 0.5000 0.0000 0.9988 1
O1 O 0.0000 0.1953 0.5161 1
O2 O 0.1192 0.0000 0.8230 1
O3 O 0.2463 0.1959 0.4976 1
O4 O 0.3721 0.0000 0.1767 1
O5 O 0.5000 0.1962 0.4792 1
F1 F 0.1150 0.0000 0.2011 1
F2 F 0.3758 0.0000 0.7859 1
```

[2]
For Co3O4F2, a structure optimized by DFT (GGA+U) gives the theoretical powder X-ray diffraction pattern in this record (Cu Ka).
Kinematic intensities with the Lorentz-polarization factor, no thermal factor.

Peak list (10 most intense, 2θ from 10° to 90°, in order of rising 2θ)
| 2θ (°) | I/Imax | index |
| --- | --- | --- |
| 25.92 | 1000 | 2 0 0 |
| 29.07 | 871 | 0 2 0 |
| 36.29 | 504 | 1 1 -3 |
| 36.56 | 464 | 1 1 3 |
| 39.33 | 189 | 2 2 0 |
| 52.58 | 283 | 3 1 -3 |
| 53.18 | 284 | 3 1 3 |
| 56.35 | 246 | 1 3 -3 |
| 56.54 | 234 | 1 3 3 |
| 69.67 | 176 | 3 3 3 |

Structural model:
```
data_Co3O4F2
_cell_length_a 6.8759
_cell_length_b 6.1443
_cell_length_c 8.7822
_cell_angle_alpha 90.00
_cell_angle_beta 90.67
_cell_angle_gamma 90.00
_symmetry_space_group_name_H-M 'C 1 2/m 1'
_symmetry_Int_Tables_number 12
_symmetry_space_group_name_Hall '-C 2y'
loop_
_atom_site_label
_atom_site_type_symbol
_atom_site_fract_x
_atom_site_fract_y
_atom_site_fract_z
_atom_site_occupancy
Co1 Co 0.0000 0.0000 0.0000 1
Co2 Co 0.0000 0.5000 0.5000 1
Co3 Co 0.0012 0.0000 0.6743 1
Co4 Co 0.0360 0.5000 0.1658 1
O1 O 0.0000 0.3092 0.0000 1
O2 O 0.0082 0.3058 0.3302 1
O3 O 0.1790 0.0000 0.8399 1
F1 F 0.1892 0.0000 0.4929 1
F2 F 0.2075 0.0000 0.1616 1
```

[3]
For CoOF, a structure optimized by DFT (GGA+U) gives the theoretical powder X-ray diffraction pattern in this record (Cu Ka).
Kinematic intensities with the Lorentz-polarization factor, no thermal factor.

Peak list (10 most intense, 2θ from 10° to 90°, in order of rising 2θ)
| 2θ (°) | I/Imax | index |
| --- | --- | --- |
| 28.09 | 1000 | 0 2 0 |
| 35.48 | 656 | 1 1 -4 |
| 40.15 | 83 | 2 2 0 |
| 40.92 | 142 | 2 0 -4 |
| 54.62 | 440 | 1 3 4 |
| 54.74 | 141 | 3 1 4 |
| 58.00 | 82 | 0 4 0 |
| 60.48 | 106 | 0 0 8 |
| 67.96 | 101 | 0 2 8 |
| 69.94 | 178 | 3 3 4 |

Structural model:
```
data_CoOF
_cell_length_a 6.3441
_cell_length_b 6.3605
_cell_length_c 12.2461
_cell_angle_alpha 90.00
_cell_angle_beta 90.10
_cell_angle_gamma 90.00
_symmetry_space_group_name_H-M 'C 1 2 1'
_symmetry_Int_Tables_number 5
_symmetry_space_group_name_Hall 'C 2y'
loop_
_atom_site_label
_atom_site_type_symbol
_atom_site_fract_x
_atom_site_fract_y
_atom_site_fract_z
_atom_site_occupancy
Co1 Co 0.0000 0.0000 0.0000 1
Co2 Co 0.0000 0.0485 0.5000 1
Co3 Co 0.0018 0.0504 0.7499 1
Co4 Co 0.0272 0.5250 0.8751 1
Co5 Co 0.0282 0.5164 0.3746 1
O1 O 0.0000 0.3394 0.5000 1
O2 O 0.0000 0.7064 0.0000 1
O3 O 0.0017 0.3425 0.2493 1
O4 O 0.1808 0.0235 0.1247 1
O5 O 0.1826 0.0394 0.6254 1
F1 F 0.0000 0.3047 0.0000 1
F2 F 0.0000 0.7339 0.5000 1
F3 F 0.0016 0.7413 0.2543 1
F4 F 0.2205 0.0251 0.8741 1
F5 F 0.2208 0.0360 0.3753 1
```

[4]
For Co3OF5, a structure optimized by DFT (GGA+U) gives the theoretical powder X-ray diffraction pattern in this record (Cu Ka).
Kinematic intensities with the Lorentz-polarization factor, no thermal factor.

Peak list (10 most intense, 2θ from 10° to 90°, in order of rising 2θ)
| 2θ (°) | I/Imax | index |
| --- | --- | --- |
| 26.07 | 1000 | 0 2 0 |
| 26.86 | 981 | 2 0 -2 |
| 34.39 | 507 | 3 1 0 |
| 34.53 | 513 | 1 1 2 |
| 51.56 | 316 | 3 3 0 |
| 51.66 | 319 | 1 3 2 |
| 52.35 | 297 | 5 1 -2 |
| 52.65 | 291 | 1 1 -4 |
| 65.96 | 220 | 5 3 -2 |
| 66.22 | 270 | 1 3 -4 |

Structural model:
```
data_Co3OF5
_cell_length_a 9.1216
_cell_length_b 6.8366
_cell_length_c 7.3141
_cell_angle_alpha 90.00
_cell_angle_beta 111.91
_cell_angle_gamma 90.00
_symmetry_space_group_name_H-M 'C 1 2/m 1'
_symmetry_Int_Tables_number 12
_symmetry_space_group_name_Hall '-C 2y'
loop_
_atom_site_label
_atom_site_type_symbol
_atom_site_fract_x
_atom_site_fract_y
_atom_site_fract_z
_atom_site_occupancy
Co1 Co 0.0000 0.0000 0.0000 1
Co2 Co 0.0000 0.0000 0.5000 1
Co3 Co 0.1434 0.5000 0.1453 1
Co4 Co 0.1641 0.5000 0.6716 1
O1 O 0.0687 0.5000 0.8648 1
F1 F 0.0000 0.2996 0.5000 1
F2 F 0.1135 0.0000 0.8039 1
F3 F 0.1625 0.1983 0.1721 1
F4 F 0.2402 0.0000 0.5435 1
```

[5]
For CoOF, a structure optimized by DFT (GGA+U) gives the theoretical powder X-ray diffraction pattern in this record (Cu Ka).
Kinematic intensities with the Lorentz-polarization factor, no thermal factor.

Peak list (10 most intense, 2θ from 10° to 90°, in order of rising 2θ)
| 2θ (°) | I/Imax | index |
| --- | --- | --- |
| 28.10 | 1000 | 1 1 0 |
| 35.51 | 164 | 1 0 -3 |
| 35.64 | 483 | 0 1 3 |
| 41.00 | 95 | 1 1 -3 |
| 41.10 | 94 | 1 1 3 |
| 54.58 | 143 | 2 1 -3 |
| 54.76 | 285 | 1 2 -3 |
| 54.85 | 145 | 1 2 3 |
| 58.09 | 159 | 2 2 0 |
| 60.80 | 104 | 0 0 6 |

Structural model:
```
data_CoOF
_cell_length_a 4.5049
_cell_length_b 4.4781
_cell_length_c 9.1411
_cell_angle_alpha 90.00
_cell_angle_beta 90.20
_cell_angle_gamma 90.00
_symmetry_space_group_name_H-M 'P 1 21 1'
_symmetry_Int_Tables_number 4
_symmetry_space_group_name_Hall 'P 2yb'
loop_
_atom_site_label
_atom_site_type_symbol
_atom_site_fract_x
_atom_site_fract_y
_atom_site_fract_z
_atom_site_occupancy
Co1 Co 0.2196 0.0000 0.0834 1
Co2 Co 0.2195 0.9985 0.7502 1
Co3 Co 0.2785 0.9442 0.4166 1
O1 O 0.0482 0.8084 0.9176 1
O2 O 0.0733 0.7894 0.2496 1
O3 O 0.4320 0.1506 0.5835 1
F1 F 0.0290 0.7504 0.5846 1
F2 F 0.4466 0.2047 0.9219 1
F3 F 0.4687 0.1890 0.2433 1
```

[6]
For Co6O5F7, a structure optimized by DFT (GGA+U) gives the theoretical powder X-ray diffraction pattern in this record (Cu Ka).
Kinematic intensities with the Lorentz-polarization factor, no thermal factor.

Peak list (10 most intense, 2θ from 10° to 90°, in order of rising 2θ)
| 2θ (°) | I/Imax | index |
| --- | --- | --- |
| 27.12 | 1000 | 1 1 -1 |
| 27.70 | 949 | 1 -1 1 |
| 34.33 | 351 | -1 1 2 |
| 34.83 | 327 | 0 2 1 |
| 35.03 | 274 | 0 0 3 |
| 35.47 | 253 | 1 1 2 |
| 52.34 | 178 | 2 0 -3 |
| 52.88 | 290 | -2 2 1 |
| 55.93 | 169 | 2 2 -2 |
| 59.71 | 192 | 0 2 4 |

Structural model:
```
data_Co6O5F7
_cell_length_a 4.6113
_cell_length_b 5.5573
_cell_length_c 7.6976
_cell_angle_alpha 92.47
_cell_angle_beta 92.27
_cell_angle_gamma 90.12
_symmetry_space_group_name_H-M 'P 1'
_symmetry_Int_Tables_number 1
_symmetry_space_group_name_Hall 'P 1'
loop_
_atom_site_label
_atom_site_type_symbol
_atom_site_fract_x
_atom_site_fract_y
_atom_site_fract_z
_atom_site_occupancy
Co1 Co 0.0000 0.0000 0.0000 1
Co2 Co 0.0097 0.3403 0.3325 1
Co3 Co 0.0743 0.6618 0.6843 1
Co4 Co 0.5184 0.1930 0.6363 1
Co5 Co 0.5466 0.5028 0.0059 1
Co6 Co 0.5669 0.8576 0.3177 1
O1 O 0.2182 0.3699 0.5563 1
O2 O 0.2388 0.7010 0.8965 1
O3 O 0.7223 0.7871 0.0973 1
O4 O 0.7320 0.1486 0.4236 1
O5 O 0.8244 0.3065 0.1046 1
F1 F 0.2301 0.0367 0.2265 1
F2 F 0.3151 0.5382 0.2413 1
F3 F 0.3401 0.8755 0.5560 1
F4 F 0.3413 0.2119 0.8934 1
F5 F 0.7304 0.4703 0.7585 1
F6 F 0.8254 0.9783 0.7524 1
F7 F 0.8343 0.6535 0.4504 1
```

[7]
For Co6O7F5, a structure optimized by DFT (GGA+U) gives the theoretical powder X-ray diffraction pattern in this record (Cu Ka).
Kinematic intensities with the Lorentz-polarization factor, no thermal factor.

Peak list (10 most intense, 2θ from 10° to 90°, in order of rising 2θ)
| 2θ (°) | I/Imax | index |
| --- | --- | --- |
| 25.54 | 1000 | 1 1 1 |
| 29.24 | 808 | -1 1 1 |
| 36.44 | 858 | 1 -1 2 |
| 39.21 | 190 | 2 0 0 |
| 40.27 | 135 | 1 0 3 |
| 52.46 | 577 | 2 2 -1 |
| 52.52 | 144 | 2 0 3 |
| 56.66 | 429 | 2 -2 1 |
| 63.71 | 131 | 0 2 -4 |
| 69.23 | 260 | 3 1 -2 |

Structural model:
```
data_Co6O7F5
_cell_length_a 4.6351
_cell_length_b 5.4803
_cell_length_c 7.4604
_cell_angle_alpha 83.77
_cell_angle_beta 85.37
_cell_angle_gamma 83.53
_symmetry_space_group_name_H-M 'P 1'
_symmetry_Int_Tables_number 1
_symmetry_space_group_name_Hall 'P 1'
loop_
_atom_site_label
_atom_site_type_symbol
_atom_site_fract_x
_atom_site_fract_y
_atom_site_fract_z
_atom_site_occupancy
Co1 Co 0.0000 0.0000 0.0000 1
Co2 Co 0.0015 0.3214 0.6782 1
Co3 Co 0.0101 0.6665 0.3455 1
Co4 Co 0.5033 0.1614 0.3403 1
Co5 Co 0.5081 0.4991 0.0069 1
Co6 Co 0.5520 0.8653 0.6926 1
O1 O 0.3137 0.1208 0.5765 1
O2 O 0.3140 0.7985 0.9059 1
O3 O 0.3210 0.4617 0.2368 1
O4 O 0.6998 0.2060 0.1066 1
O5 O 0.6999 0.8710 0.4494 1
O6 O 0.7032 0.5378 0.7807 1
O7 O 0.8239 0.0463 0.7830 1
F1 F 0.1891 0.2864 0.9045 1
F2 F 0.1895 0.6046 0.5821 1
F3 F 0.1915 0.9694 0.2255 1
F4 F 0.8192 0.3597 0.4547 1
F5 F 0.8192 0.7177 0.1036 1
```

[8]
For Co6O5F7, a structure optimized by DFT (GGA+U) gives the theoretical powder X-ray diffraction pattern in this record (Cu Ka).
Kinematic intensities with the Lorentz-polarization factor, no thermal factor.

Peak list (10 most intense, 2θ from 10° to 90°, in order of rising 2θ)
| 2θ (°) | I/Imax | index |
| --- | --- | --- |
| 26.10 | 1000 | 0 2 0 |
| 28.50 | 814 | 2 0 -2 |
| 35.55 | 963 | 1 1 2 |
| 39.03 | 168 | 2 2 -2 |
| 52.44 | 606 | 1 3 2 |
| 53.70 | 159 | 0 4 0 |
| 55.08 | 215 | 5 1 -2 |
| 55.24 | 233 | 1 1 -4 |
| 68.38 | 170 | 5 3 -2 |
| 68.52 | 183 | 1 3 -4 |

Structural model:
```
data_Co6O5F7
_cell_length_a 8.7105
_cell_length_b 6.8280
_cell_length_c 6.9448
_cell_angle_alpha 90.00
_cell_angle_beta 110.41
_cell_angle_gamma 90.00
_symmetry_space_group_name_H-M 'C 1 2 1'
_symmetry_Int_Tables_number 5
_symmetry_space_group_name_Hall 'C 2y'
loop_
_atom_site_label
_atom_site_type_symbol
_atom_site_fract_x
_atom_site_fract_y
_atom_site_fract_z
_atom_site_occupancy
Co1 Co 0.0000 0.0000 0.0000 1
Co2 Co 0.0000 0.0375 0.5000 1
Co3 Co 0.1491 0.5439 0.1677 1
Co4 Co 0.1690 0.5421 0.6557 1
O1 O 0.0000 0.7171 0.0000 1
O2 O 0.0583 0.5430 0.3671 1
O3 O 0.1008 0.0310 0.3045 1
F1 F 0.0000 0.3457 0.0000 1
F2 F 0.1802 0.2281 0.6775 1
F3 F 0.1828 0.8527 0.6802 1
F4 F 0.2436 0.0388 0.0361 1
```

[9]
For Co3OF5, a structure optimized by DFT (GGA+U) gives the theoretical powder X-ray diffraction pattern in this record (Cu Ka).
Kinematic intensities with the Lorentz-polarization factor, no thermal factor.

Peak list (10 most intense, 2θ from 10° to 90°, in order of rising 2θ)
| 2θ (°) | I/Imax | index |
| --- | --- | --- |
| 26.50 | 960 | 2 0 0 |
| 27.51 | 816 | 0 6 0 |
| 34.54 | 1000 | 1 3 1 |
| 38.57 | 137 | 2 6 0 |
| 39.36 | 186 | 2 0 1 |
| 52.16 | 612 | 3 3 1 |
| 53.31 | 442 | 1 9 1 |
| 54.57 | 180 | 4 0 0 |
| 59.14 | 184 | 0 0 2 |
| 67.21 | 349 | 3 9 1 |

Structural model:
```
data_Co3OF5
_cell_length_a 6.7265
_cell_length_b 19.4517
_cell_length_c 3.1244
_cell_angle_alpha 90.00
_cell_angle_beta 90.00
_cell_angle_gamma 90.00
_symmetry_space_group_name_H-M 'C m m m'
_symmetry_Int_Tables_number 65
_symmetry_space_group_name_Hall '-C 2 2'
loop_
_atom_site_label
_atom_site_type_symbol
_atom_site_fract_x
_atom_site_fract_y
_atom_site_fract_z
_atom_site_occupancy
Co1 Co 0.0000 0.0000 0.0000 1
Co2 Co 0.0000 0.1526 0.5000 1
Co3 Co 0.0000 0.3285 0.0000 1
Co4 Co 0.0000 0.5000 0.5000 1
O1 O 0.0000 0.0933 0.0000 1
F1 F 0.0000 0.2238 0.0000 1
F2 F 0.0000 0.4329 0.0000 1
F3 F 0.1939 0.0000 0.5000 1
F4 F 0.1978 0.3318 0.5000 1
```

[10]
For Co3OF5, a structure optimized by DFT (GGA+U) gives the theoretical powder X-ray diffraction pattern in this record (Cu Ka).
Kinematic intensities with the Lorentz-polarization factor, no thermal factor.

Peak list (10 most intense, 2θ from 10° to 90°, in order of rising 2θ)
| 2θ (°) | I/Imax | index |
| --- | --- | --- |
| 26.72 | 1000 | 0 0 3 |
| 34.41 | 564 | 1 1 -2 |
| 38.15 | 84 | 2 0 -4 |
| 39.50 | 180 | 2 1 -1 |
| 52.31 | 628 | 3 1 -3 |
| 55.05 | 178 | 4 0 -2 |
| 59.08 | 101 | 0 2 0 |
| 65.98 | 129 | 0 2 3 |
| 66.56 | 217 | 3 1 -6 |
| 85.03 | 85 | 4 2 -2 |

Structural model:
```
data_Co3OF5
_cell_length_a 6.6770
_cell_length_b 3.1272
_cell_length_c 10.5401
_cell_angle_alpha 90.00
_cell_angle_beta 108.41
_cell_angle_gamma 90.00
_symmetry_space_group_name_H-M 'P 1 m 1'
_symmetry_Int_Tables_number 6
_symmetry_space_group_name_Hall 'P -2y'
loop_
_atom_site_label
_atom_site_type_symbol
_atom_site_fract_x
_atom_site_fract_y
_atom_site_fract_z
_atom_site_occupancy
Co1 Co 0.0000 0.0000 0.0000 1
Co2 Co 0.1491 0.5000 0.3398 1
Co3 Co 0.3023 0.0000 0.6434 1
Co4 Co 0.4539 0.5000 0.9869 1
Co5 Co 0.6424 0.0000 0.3244 1
Co6 Co 0.8104 0.5000 0.6613 1
O1 O 0.2431 0.5000 0.5262 1
O2 O 0.2715 0.0000 0.9899 1
F1 F 0.0083 0.0000 0.6656 1
F2 F 0.0423 0.5000 0.1334 1
F3 F 0.3385 0.0000 0.3253 1
F4 F 0.3712 0.5000 0.7768 1
F5 F 0.5781 0.5000 0.1920 1
F6 F 0.6165 0.0000 0.6624 1
F7 F 0.6808 0.0000 0.9923 1
F8 F 0.7082 0.5000 0.4569 1
F9 F 0.9094 0.5000 0.8688 1
F10 F 0.9479 0.0000 0.3282 1
```

[11]
For Co3O4F2, a structure optimized by DFT (GGA+U) gives the theoretical powder X-ray diffraction pattern in this record (Cu Ka).
Kinematic intensities with the Lorentz-polarization factor, no thermal factor.

Peak list (10 most intense, 2θ from 10° to 90°, in order of rising 2θ)
| 2θ (°) | I/Imax | index |
| --- | --- | --- |
| 26.11 | 1000 | 2 0 -2 |
| 29.35 | 836 | 0 2 0 |
| 36.34 | 960 | 1 1 2 |
| 39.68 | 191 | 2 2 -2 |
| 52.94 | 293 | 5 1 -2 |
| 53.12 | 291 | 1 1 -4 |
| 56.72 | 463 | 1 3 2 |
| 63.10 | 155 | 4 0 2 |
| 69.76 | 177 | 5 3 -2 |
| 69.92 | 175 | 1 3 -4 |

Structural model:
```
data_Co3O4F2
_cell_length_a 9.0343
_cell_length_b 6.0858
_cell_length_c 7.4249
_cell_angle_alpha 90.00
_cell_angle_beta 115.91
_cell_angle_gamma 90.00
_symmetry_space_group_name_H-M 'C 1 m 1'
_symmetry_Int_Tables_number 8
_symmetry_space_group_name_Hall 'C -2y'
loop_
_atom_site_label
_atom_site_type_symbol
_atom_site_fract_x
_atom_site_fract_y
_atom_site_fract_z
_atom_site_occupancy
Co1 Co 0.0000 0.0000 0.0000 1
Co2 Co 0.0018 0.0000 0.4761 1
Co3 Co 0.1600 0.5000 0.6792 1
Co4 Co 0.1799 0.5000 0.1468 1
Co5 Co 0.3415 0.0000 0.3182 1
Co6 Co 0.3466 0.0000 0.8185 1
O1 O 0.0028 0.3060 0.4901 1
O2 O 0.0749 0.5000 0.8704 1
O3 O 0.1739 0.1950 0.1520 1
O4 O 0.3391 0.3066 0.8241 1
O5 O 0.3958 0.5000 0.1932 1
F1 F 0.1109 0.0000 0.7752 1
F2 F 0.2373 0.0000 0.5169 1
F3 F 0.2622 0.5000 0.4344 1
F4 F 0.4571 0.0000 0.1267 1
```